Diffraction record for La2Tb6Nd3Dy. The powder X-ray diffraction pattern is computed, not measured: it uses a PBE-relaxed structure and Cu Kα, 1.54184 Å.
Kinematic intensities with the Lorentz-polarization factor, no thermal factor.

Crystal structure
a b c (Å): 5.9662 7.5602 17.9890
angles (deg): 90.00 90.00 90.00
Space group Immm (No. 71)
One atom of each set of equivalent atoms:
1 La 0.0000 0.0000 0.1723 x4
2 Tb 0.0000 0.2438 0.3413 x8
3 Tb 0.0000 0.2570 0.0000 x4
4 Nd 0.0000 0.5000 0.1739 x4
5 Nd 0.0000 0.5000 0.5000 x2
6 Dy 0.0000 0.0000 0.5000 x2

Most intense lines, 15° ≤ 2θ ≤ 90°, sorted by position:
Position (°2θ)  I (rel.)  h k l
29.80  285  0 0 6
29.95  296  2 0 0
31.75  1000  1 2 3
42.76  214  2 0 6
48.14  79  0 4 0
54.13  201  1 2 9
54.32  220  3 2 3
57.70  179  2 4 0
66.33  115  2 4 6
71.41  87  3 2 9

---

Diffraction record for LaNd3Dy3Te8. The powder X-ray diffraction pattern is computed, not measured: it uses a PBE-relaxed structure and Cu Kα, 1.54184 Å.
Kinematic intensities with the Lorentz-polarization factor, no thermal factor.

Crystal structure
a b c (Å): 8.8345 8.8345 21.6889
angles (deg): 90.00 90.00 120.00
Space group R-3m (No. 166, hexagonal axes)
One atom of each set of equivalent atoms:
1 La 0.0000 0.0000 0.0000 x3
2 Nd 0.0000 0.5000 0.5000 x9
3 Dy 0.0000 0.5000 0.0000 x9
4 Te 0.0000 0.0000 0.2538 x6
5 Te 0.0197 0.5098 0.2490 x18

Most intense lines, 15° ≤ 2θ ≤ 90°, sorted by position:
Position (°2θ)  I (rel.)  h k l
28.56  1000  0 2 4
31.18  38  1 0 7
40.83  752  2 0 8
50.50  69  0 0 12
50.60  198  4 0 4
59.11  123  0 4 8
66.94  333  2 2 12
74.22  63  0 2 16
74.37  179  4 2 8
88.38  40  4 0 16

---

Diffraction record for LaNd2DyTm. The powder X-ray diffraction pattern is computed, not measured: it uses a PBE-relaxed structure and Cu Kα, 1.54184 Å.
Kinematic intensities with the Lorentz-polarization factor, no thermal factor.

Crystal structure
a b c (Å): 8.7071 6.4769 6.3376
angles (deg): 90.00 99.79 90.00
Space group P2/c (No. 13)
One atom of each set of equivalent atoms:
1 La 0.0000 0.0000 0.0000 x2
2 Nd 0.3149 0.3128 0.1958 x4
3 Dy 0.0000 0.4496 0.7500 x2
4 Tm 0.5000 0.1668 0.7500 x2

Most intense lines, 15° ≤ 2θ ≤ 90°, sorted by position:
Position (°2θ)  I (rel.)  h k l
20.70  457  2 0 0
26.91  622  2 1 -1
28.59  503  0 0 2
28.71  464  1 0 -2
29.48  1000  1 2 0
30.51  922  2 1 1
32.05  634  1 2 -1
35.06  1000  1 1 2
41.43  490  3 1 -2
58.08  499  2 3 2

---

Diffraction record for LaNd2DyTm2. The powder X-ray diffraction pattern is computed, not measured: it uses a PBE-relaxed structure and Cu Kα, 1.54184 Å.
Kinematic intensities with the Lorentz-polarization factor, no thermal factor.

Crystal structure
a b c (Å): 7.0000 16.3576 3.5366
angles (deg): 90.00 90.00 90.00
Space group Pnnm (No. 58)
One atom of each set of equivalent atoms:
1 La 0.0000 0.0000 0.0000 x2
2 Nd 0.2461 0.3378 0.0000 x4
3 Dy 0.0000 0.5000 0.5000 x2
4 Tm 0.2487 0.1526 0.5000 x4

Most intense lines, 15° ≤ 2θ ≤ 90°, sorted by position:
Position (°2θ)  I (rel.)  h k l
27.72  438  2 2 0
30.12  1000  0 3 1
32.85  373  0 6 0
33.71  475  2 4 0
36.54  595  2 1 1
45.82  143  2 5 1
53.82  300  2 7 1
61.52  262  4 3 1
62.65  220  0 6 2
63.14  267  4 6 0

---

Diffraction record for LaNd4DyTm2. The powder X-ray diffraction pattern is computed, not measured: it uses a PBE-relaxed structure and Cu Kα, 1.54184 Å.
Kinematic intensities with the Lorentz-polarization factor, no thermal factor.

Crystal structure
a b c (Å): 11.4344 5.1396 10.2866
angles (deg): 90.00 116.83 90.00
Space group C2/m (No. 12)
One atom of each set of equivalent atoms:
1 La 0.0000 0.0000 0.0000 x2
2 Nd 0.2488 0.0000 0.8728 x4
3 Nd 0.2493 0.5000 0.6237 x4
4 Dy 0.0000 0.0000 0.5000 x2
5 Tm 0.9998 0.5000 0.2535 x4

Most intense lines, 15° ≤ 2θ ≤ 90°, sorted by position:
Position (°2θ)  I (rel.)  h k l
30.19  1000  1 1 2
34.90  340  0 2 0
35.18  167  4 0 0
50.19  122  2 2 -4
50.40  241  4 2 0
59.69  289  1 3 2
60.06  142  5 1 2
62.77  124  2 2 4
81.66  59  5 3 -6
81.94  59  7 3 -2

---

Diffraction record for La5Nd2DyY. The powder X-ray diffraction pattern is computed, not measured: it uses a PBE-relaxed structure and Cu Kα, 1.54184 Å.
Kinematic intensities with the Lorentz-polarization factor, no thermal factor.

Crystal structure
a b c (Å): 8.7346 8.7346 17.0562
angles (deg): 90.00 90.00 90.00
Space group I4/mcm (No. 140)
One atom of each set of equivalent atoms:
1 La 0.0000 0.0000 0.0000 x4
2 La 0.2193 0.2807 0.1435 x16
3 Nd 0.1223 0.3777 0.5000 x8
4 Dy 0.0000 0.0000 0.2500 x4
5 Y 0.0000 0.5000 0.2500 x4

Most intense lines, 15° ≤ 2θ ≤ 90°, sorted by position:
Position (°2θ)  I (rel.)  h k l
27.71  469  2 1 3
28.91  525  2 2 0
29.27  1000  2 0 4
32.41  171  3 1 0
37.50  147  3 2 1
37.76  129  2 0 6
42.40  127  0 0 8
42.75  120  4 0 2
51.46  282  4 2 4
52.13  123  2 2 8

---

Diffraction record for La2NdDy2Y. The powder X-ray diffraction pattern is computed, not measured: it uses a PBE-relaxed structure and Cu Kα, 1.54184 Å.
Kinematic intensities with the Lorentz-polarization factor, no thermal factor.

Crystal structure
a b c (Å): 7.1580 5.7509 9.9401
angles (deg): 90.00 90.00 90.00
Space group Pmma (No. 51)
One atom of each set of equivalent atoms:
1 La 0.0000 0.0000 0.0000 x2
2 La 0.2500 0.5000 0.1754 x2
3 Nd 0.2500 0.0000 0.6606 x2
4 Dy 0.2500 0.0000 0.3341 x2
5 Dy 0.2500 0.5000 0.8339 x2
6 Y 0.0000 0.5000 0.5000 x2

Most intense lines, 15° ≤ 2θ ≤ 90°, sorted by position:
Position (°2θ)  I (rel.)  h k l
24.88  119  2 0 0
30.77  841  2 0 2
31.14  1000  0 2 0
40.26  202  2 2 0
44.35  306  2 2 2
55.18  319  2 3 1
55.40  194  0 3 3
61.00  291  4 2 0
73.53  90  2 4 2
78.66  138  4 3 3

---

Diffraction record for LaNdDy2Y2. The powder X-ray diffraction pattern is computed, not measured: it uses a PBE-relaxed structure and Cu Kα, 1.54184 Å.
Kinematic intensities with the Lorentz-polarization factor, no thermal factor.

Crystal structure
a b c (Å): 6.6244 18.0507 3.4178
angles (deg): 90.00 90.00 90.00
Space group Pnnm (No. 58)
One atom of each set of equivalent atoms:
1 La 0.0000 0.0000 0.0000 x2
2 Nd 0.0000 0.5000 0.0000 x2
3 Dy 0.2207 0.3511 0.5000 x4
4 Y 0.2226 0.1866 0.0000 x4

Most intense lines, 15° ≤ 2θ ≤ 90°, sorted by position:
Position (°2θ)  I (rel.)  h k l
16.60  441  1 2 0
26.54  326  0 1 1
28.71  1000  2 2 0
29.70  846  0 6 0
30.07  850  0 3 1
31.07  520  1 2 1
33.56  782  2 4 0
35.63  509  1 4 1
40.79  605  2 3 1
42.30  313  1 8 0